Starting from a DFT-relaxed cell (PBE, Alexandria), the XRD peak list of Pr2PPd6 was computed for Cu Kα X-rays.
Intensities are scaled so that the largest is 100.

Structural model:
```
Pr2PPd6
1.0
3.1029 1.7915 5.0750
-3.1029 1.7915 5.0750
0.0000 -3.5829 5.0750
Pr P Pd
2 1 6
direct
0.2501 0.2501 0.2501
0.7499 0.7499 0.7499
0.0000 0.0000 0.0000
0.2683 0.2683 0.7322
0.2683 0.7322 0.2683
0.2678 0.7317 0.7317
0.7322 0.2683 0.2683
0.7317 0.2678 0.7317
0.7317 0.7317 0.2678
```

Peak list (6 most intense, 2θ = 5–70°, sorted by position)
2theta  d [Å]  I_rel
28.76  3.105  4
35.41  2.535  100
41.12  2.195  56
45.00  2.015  4
54.28  1.690  4
59.56  1.552  35



Starting from a DFT-relaxed cell (PBE, Alexandria), the XRD peak list of PrP3Pd5 was computed for Cu Kα X-rays.
Intensities are scaled so that the largest is 100.

Structural model:
```
PrP3Pd5
1.0
1.9244 -6.3947 0.0000
1.9244 6.3947 0.0000
0.0000 0.0000 12.4922
Pr P Pd
2 6 10
direct
0.1365 0.8635 0.7500
0.8635 0.1365 0.2500
0.1301 0.8699 0.2500
0.3916 0.6084 0.0506
0.3916 0.6084 0.4494
0.6084 0.3916 0.5506
0.6084 0.3916 0.9494
0.8699 0.1301 0.7500
0.0000 0.0000 0.0000
0.0000 0.0000 0.5000
0.2168 0.7832 0.0818
0.2168 0.7832 0.4182
0.4356 0.5644 0.6438
0.4356 0.5644 0.8562
0.5644 0.4356 0.1438
0.5644 0.4356 0.3562
0.7832 0.2168 0.5818
0.7832 0.2168 0.9182
```

Peak list (6 most intense, 2θ = 5–70°, sorted by position)
2theta  d [Å]  I_rel
31.43  2.846  59
32.14  2.785  95
32.44  2.760  98
34.52  2.598  49
37.76  2.383  100
47.23  1.924  59



Starting from a DFT-relaxed cell (PBE, Alexandria), the XRD peak list of PrPPd6 was computed for Cu Kα X-rays.
Intensities are scaled so that the largest is 100.

Structural model:
```
PrPPd6
1.0
2.8628 1.6528 5.4849
-2.8628 1.6528 5.4849
0.0000 -3.3056 5.4849
Pr P Pd
1 1 6
direct
0.0000 0.0000 0.0000
0.5000 0.5000 0.5000
0.0649 0.5901 0.5901
0.4099 0.4099 0.9351
0.4099 0.9351 0.4099
0.5901 0.0649 0.5901
0.5901 0.5901 0.0649
0.9351 0.4099 0.4099
```

Peak list (6 most intense, 2θ = 5–70°, sorted by position)
2theta  d [Å]  I_rel
28.19  3.166  44
32.66  2.742  45
36.66  2.452  100
37.90  2.374  51
45.82  1.980  56
65.17  1.431  26



What did the third record say?
Starting from a DFT-relaxed cell (PBE, Alexandria), the XRD peak list of PrPPd6 was computed for Cu Kα X-rays.
Intensities are scaled so that the largest is 100.

Structural model:
```
PrPPd6
1.0
2.8628 1.6528 5.4849
-2.8628 1.6528 5.4849
0.0000 -3.3056 5.4849
Pr P Pd
1 1 6
direct
0.0000 0.0000 0.0000
0.5000 0.5000 0.5000
0.0649 0.5901 0.5901
0.4099 0.4099 0.9351
0.4099 0.9351 0.4099
0.5901 0.0649 0.5901
0.5901 0.5901 0.0649
0.9351 0.4099 0.4099
```

Peak list (6 most intense, 2θ = 5–70°, sorted by position)
2theta  d [Å]  I_rel
28.19  3.166  44
32.66  2.742  45
36.66  2.452  100
37.90  2.374  51
45.82  1.980  56
65.17  1.431  26



- What is the formula in the second record?
  PrP3Pd5